# Zn6Cu5Ag
Simulated X-ray powder pattern, Cu Kα (weighted mean of Kα1 and Kα2). Input: a cell relaxed with GGA-PBE.

Most intense lines, 10 to 80 degrees two-theta, low angle first:
d_spacing, Rel. int.
2.251, 1
2.187, 100
2.159, 96
2.010, 38
2.004, 38
1.689, 21
1.419, 23
1.303, 8
1.293, 16
1.279, 8

Structure:
Lattice parameters (Å, degrees): 6.355 6.355 6.756 90.34 90.34 143.23
Fractional positions:
1 Zn 0.000 0.000 0.236
2 Zn 0.000 0.000 0.764
3 Zn 0.328 0.669 0.758
4 Zn 0.331 0.672 0.242
5 Zn 0.669 0.328 0.758
6 Zn 0.672 0.331 0.242
7 Cu 0.166 0.834 0.000
8 Cu 0.171 0.829 0.500
9 Cu 0.500 0.500 0.000
10 Cu 0.829 0.171 0.500
11 Cu 0.834 0.166 0.000
12 Ag 0.500 0.500 0.500